HoMgIn: simulated PXRD pattern (CuKα), based on a crystal structure in the Materials Project, relaxed with PBE.
Neutral-atom scattering factors, no anomalous dispersion.

Structural model:
Unit cell a=7.503 b=7.503 c=4.681 alpha=90.00 beta=90.00 gamma=120.00
Sites, in units of the cell vectors:
Ho 0.000 0.565 0.000
Ho 0.435 0.435 0.000
Ho 0.565 0.000 0.000
Mg 0.000 0.242 0.500
Mg 0.242 0.000 0.500
Mg 0.758 0.758 0.500
In 0.000 0.000 0.000
In 0.333 0.667 0.500
In 0.667 0.333 0.500

Main lines, low angle first (2θ = 10–80°):
| hkl | 2θ/deg | intensity |
| --- | --- | --- |
| 1 1 0 | 23.7 | 18 |
| 2 0 0 | 27.5 | 26 |
| 1 1 1 | 30.5 | 52 |
| 2 0 1 | 33.6 | 100 |
| 2 1 0 | 36.6 | 16 |
| 0 0 2 | 38.5 | 23 |
| 2 1 1 | 41.5 | 14 |
| 3 1 1 | 54.6 | 18 |